# 1
Starting from a PBE-relaxed structure, the powder diffraction line list of UTl2Sb2S6 was calculated for a wavelength of 1.5418 Å.
Intensities are scaled so that the largest is 100.

Structural model:
a b c (Å): 6.9901 12.1476 7.8800
angles (deg): 90.00 107.68 90.00
Space group C2/m (No. 12)
Inequivalent atoms, fractional coordinates:
U1 0.0000 0.0000 0.0000 [2 per cell]
Tl1 0.0000 0.1672 0.5000 [4 per cell]
Sb1 0.0000 0.3313 0.0000 [4 per cell]
S1 0.2269 0.1651 0.1935 [8 per cell]
S2 0.2461 0.5000 0.1979 [4 per cell]

Main lines, by angle (2θ = 10–80°):
- (1 1 0), 15.17°, I 44
- (0 2 1), 18.79°, I 25
- (0 0 2), 23.70°, I 41
- (1 3 -1), 26.61°, I 55
- (2 0 0), 26.77°, I 27
- (2 0 -2), 29.98°, I 50
- (1 3 1), 30.10°, I 100
- (1 3 -3), 41.04°, I 38
- (3 3 -1), 44.88°, I 34
- (3 3 -3), 51.24°, I 22

# 2
Starting from a PBE-relaxed structure, the powder diffraction line list of Dy4Zn2Hg5 was calculated for a wavelength of 1.5418 Å.
Intensities are scaled so that the largest is 100.

Structural model:
a b c (Å): 7.6856 3.6650 9.4491
angles (deg): 90.00 91.79 90.00
Space group P2/m (No. 10)
Inequivalent atoms, fractional coordinates:
Dy1 0.1896 0.0000 0.3651 [2 per cell]
Dy2 0.2535 0.0000 0.9200 [2 per cell]
Zn1 0.0620 0.5000 0.1246 [2 per cell]
Hg1 0.1537 0.5000 0.6427 [2 per cell]
Hg2 0.4298 0.5000 0.1698 [2 per cell]
Hg3 0.5000 0.5000 0.5000 [1 per cell]

Main lines, by angle (2θ = 10–80°):
- (1 0 3), 31.03°, I 51
- (1 1 -2), 32.85°, I 90
- (1 1 2), 33.28°, I 100
- (2 1 0), 33.80°, I 71
- (3 0 0), 35.01°, I 42
- (2 1 1), 35.36°, I 52
- (3 0 -1), 36.05°, I 36
- (1 0 -4), 39.55°, I 47
- (0 2 0), 49.76°, I 41
- (1 1 -6), 65.33°, I 33

# 3
Starting from a PBE-relaxed structure, the powder diffraction line list of Ca6AlGa was calculated for a wavelength of 1.5418 Å.
Intensities are scaled so that the largest is 100.

Structural model:
a b c (Å): 5.3300 5.3300 18.8400
angles (deg): 90.00 90.00 90.00
Space group I4/mmm (No. 139)
Inequivalent atoms, fractional coordinates:
Ca1 0.0000 0.0000 0.2489 [4 per cell]
Ca2 0.0000 0.5000 0.0953 [8 per cell]
Al1 0.0000 0.0000 0.0000 [2 per cell]
Ga1 0.0000 0.0000 0.5000 [2 per cell]

Main lines, by angle (2θ = 10–80°):
- (1 0 1), 17.29°, I 8
- (1 1 4), 30.37°, I 100
- (2 0 0), 33.63°, I 49
- (1 1 6), 37.27°, I 17
- (1 1 8), 45.41°, I 10
- (2 2 0), 48.30°, I 19
- (2 0 8), 51.81°, I 8
- (3 1 4), 58.13°, I 28
- (2 0 12), 69.49°, I 7
- (4 0 0), 70.70°, I 7

# 4
Starting from a PBE-relaxed structure, the powder diffraction line list of Tb6YHo2Er3 was calculated for a wavelength of 1.5418 Å.
Intensities are scaled so that the largest is 100.

Structural model:
a b c (Å): 6.1390 10.6235 11.7234
angles (deg): 90.00 99.99 90.00
Space group C2/m (No. 12)
Inequivalent atoms, fractional coordinates:
Tb1 0.2488 0.1671 0.2490 [8 per cell]
Tb2 0.2500 0.0000 0.7510 [4 per cell]
Y1 0.0000 0.5000 0.5000 [2 per cell]
Ho1 0.0000 0.1667 0.5000 [4 per cell]
Er1 0.0000 0.0000 0.0000 [2 per cell]
Er2 0.0000 0.3333 0.0000 [4 per cell]

Main lines, by angle (2θ = 10–80°):
- (1 3 1), 30.94°, I 100
- (2 0 2), 35.87°, I 51
- (1 3 5), 51.63°, I 30
- (2 0 -6), 51.70°, I 6
- (4 0 0), 61.39°, I 25
- (2 0 6), 61.46°, I 18
- (2 6 2), 64.44°, I 9
- (0 0 8), 64.58°, I 3
- (4 0 4), 75.96°, I 2
- (2 6 -6), 76.08°, I 4

# 5
Starting from a PBE-relaxed structure, the powder diffraction line list of Dy2Al6Cu9 was calculated for a wavelength of 1.5418 Å.
Intensities are scaled so that the largest is 100.

Structural model:
a b c (Å): 5.2120 5.2120 12.0831
angles (deg): 90.00 90.00 120.00
Space group P6/mmm (No. 191)
Inequivalent atoms, fractional coordinates:
Dy1 0.0000 0.0000 0.1718 [2 per cell]
Al1 0.3333 0.6667 0.1642 [4 per cell]
Al2 0.3333 0.6667 0.5000 [2 per cell]
Cu1 0.0000 0.5000 0.0000 [3 per cell]
Cu2 0.0000 0.5000 0.3314 [6 per cell]

Main lines, by angle (2θ = 10–80°):
- (1 0 1), 21.01°, I 26
- (1 0 2), 24.62°, I 25
- (1 0 3), 29.73°, I 100
- (2 0 0), 39.95°, I 85
- (1 1 3), 41.26°, I 98
- (0 0 6), 45.02°, I 32
- (2 1 3), 58.78°, I 28
- (2 0 6), 61.73°, I 46
- (3 0 3), 66.32°, I 23
- (2 2 0), 72.55°, I 22

# 6
Starting from a PBE-relaxed structure, the powder diffraction line list of Ba2Sn2Bi2As was calculated for a wavelength of 1.5418 Å.
Intensities are scaled so that the largest is 100.

Structural model:
a b c (Å): 4.4576 7.1292 8.9423
angles (deg): 110.94 90.03 108.14
Space group P-1 (No. 2)
Inequivalent atoms, fractional coordinates:
Ba1 0.0093 0.0177 0.2680 [2 per cell]
Sn1 0.2812 0.5621 0.8890 [2 per cell]
Bi1 0.2925 0.5848 0.3861 [2 per cell]
As1 0.5000 0.0000 0.0000 [1 per cell]

Main lines, by angle (2θ = 10–80°):
- (0 1 0), 14.11°, I 15
- (1 0 -2), 28.29°, I 100
- (0 2 0), 28.46°, I 44
- (1 1 0), 29.27°, I 33
- (0 1 2), 29.98°, I 13
- (1 -3 2), 39.79°, I 17
- (2 -1 0), 40.44°, I 36
- (-1 2 2), 41.28°, I 27
- (2 -3 0), 50.22°, I 19
- (2 0 -4), 58.51°, I 13

# 7
Starting from a PBE-relaxed structure, the powder diffraction line list of Pm4Dy2C was calculated for a wavelength of 1.5418 Å.
Intensities are scaled so that the largest is 100.

Structural model:
a b c (Å): 5.0220 5.0220 17.6171
angles (deg): 90.00 90.00 90.00
Space group I4/mmm (No. 139)
Inequivalent atoms, fractional coordinates:
Pm1 0.0000 0.0000 0.1383 [4 per cell]
Pm2 0.0000 0.5000 0.0000 [4 per cell]
Dy1 0.0000 0.0000 0.3301 [4 per cell]
C1 0.0000 0.0000 0.0000 [2 per cell]

Main lines, by angle (2θ = 10–80°):
- (1 1 0), 25.08°, I 22
- (1 1 2), 27.07°, I 82
- (0 0 6), 30.44°, I 35
- (1 1 4), 32.39°, I 100
- (2 0 0), 35.76°, I 66
- (2 0 6), 47.65°, I 41
- (2 2 0), 51.47°, I 23
- (3 1 2), 59.11°, I 19
- (2 2 6), 60.98°, I 19
- (3 1 4), 62.13°, I 31

# 8
Starting from a PBE-relaxed structure, the powder diffraction line list of PmPr3Dy was calculated for a wavelength of 1.5418 Å.
Intensities are scaled so that the largest is 100.

Structural model:
a b c (Å): 8.0747 13.9992 6.4498
angles (deg): 90.00 90.00 90.00
Space group Cmcm (No. 63)
Inequivalent atoms, fractional coordinates:
Pm1 0.0000 0.0000 0.0000 [4 per cell]
Pr1 0.0000 0.1994 0.2500 [4 per cell]
Pr2 0.2008 0.4000 0.2500 [8 per cell]
Dy1 0.0000 0.3335 0.7500 [4 per cell]

Main lines, by angle (2θ = 10–80°):
- (1 3 0), 22.01°, I 24
- (0 0 2), 27.66°, I 19
- (2 2 1), 29.04°, I 100
- (0 2 2), 30.52°, I 29
- (2 4 0), 33.90°, I 30
- (0 4 2), 37.95°, I 43
- (0 6 1), 41.16°, I 18
- (4 0 0), 44.88°, I 23
- (2 2 3), 49.78°, I 23
- (2 8 2), 64.89°, I 18